Diffraction record for K6NbTlAs4. The powder diffraction line list is calculated, not measured: it uses a crystal structure in Alexandria, relaxed with GGA-PBE and a wavelength of 1.5418 Å.
Intensities are scaled so that the largest is 100.

Structural model:
a b c (Å): 19.210 10.472 7.789
angles (deg): 90.00 90.00 90.00
Positions (direct):
K 0.001 0.250 0.068
K 0.079 0.025 0.721
K 0.079 0.475 0.721
K 0.156 0.250 0.303
K 0.242 0.545 0.481
K 0.242 0.955 0.481
K 0.258 0.045 0.981
K 0.258 0.455 0.981
K 0.344 0.750 0.803
K 0.421 0.525 0.221
K 0.421 0.975 0.221
K 0.499 0.750 0.568
K 0.501 0.250 0.432
K 0.579 0.025 0.779
K 0.579 0.475 0.779
K 0.656 0.250 0.197
K 0.742 0.545 0.019
K 0.742 0.955 0.019
K 0.758 0.045 0.519
K 0.758 0.455 0.519
K 0.844 0.750 0.697
K 0.921 0.525 0.279
K 0.921 0.975 0.279
K 0.999 0.750 0.932
Nb 0.168 0.750 0.092
Nb 0.332 0.250 0.592
Nb 0.668 0.750 0.408
Nb 0.832 0.250 0.908
Tl 0.053 0.750 0.437
Tl 0.447 0.250 0.937
Tl 0.553 0.750 0.063
Tl 0.947 0.250 0.563
As 0.102 0.554 0.201
As 0.102 0.946 0.201
As 0.168 0.750 0.773
As 0.207 0.250 0.691
As 0.293 0.750 0.191
As 0.332 0.250 0.273
As 0.398 0.054 0.701
As 0.398 0.446 0.701
As 0.602 0.554 0.299
As 0.602 0.946 0.299
As 0.668 0.750 0.727
As 0.707 0.250 0.809
As 0.793 0.750 0.309
As 0.832 0.250 0.227
As 0.898 0.054 0.799
As 0.898 0.446 0.799

Peak list (8 most intense, 15 to 90 degrees two-theta, by angle)
2θ (°)  I/Imax
16.93  57
19.85  40
27.24  91
30.07  100
31.37  76
31.87  52
32.78  61
34.25  69

Diffraction record for K3NdAs2S8. The powder diffraction line list is calculated, not measured: it uses a crystal structure in Alexandria, relaxed with GGA-PBE and a wavelength of 1.5418 Å.
Intensities are scaled so that the largest is 100.

Structural model:
a b c (Å): 11.074 11.074 9.130
angles (deg): 102.89 102.89 122.82
Positions (direct):
K 0.000 0.000 0.000
K 0.000 0.000 0.500
K 0.246 0.754 0.750
K 0.497 0.503 0.750
K 0.503 0.497 0.250
K 0.754 0.246 0.250
Nd 0.257 0.743 0.250
Nd 0.743 0.257 0.750
As 0.157 0.407 0.897
As 0.407 0.157 0.397
As 0.593 0.843 0.603
As 0.843 0.593 0.103
S 0.006 0.363 0.657
S 0.029 0.373 0.056
S 0.231 0.261 0.871
S 0.261 0.231 0.371
S 0.343 0.630 0.478
S 0.363 0.006 0.157
S 0.370 0.657 0.022
S 0.373 0.029 0.556
S 0.627 0.971 0.444
S 0.630 0.343 0.978
S 0.637 0.994 0.843
S 0.657 0.370 0.522
S 0.739 0.769 0.629
S 0.769 0.739 0.129
S 0.971 0.627 0.944
S 0.994 0.637 0.343

Peak list (8 most intense, 15 to 90 degrees two-theta, by angle)
2θ (°)  I/Imax
19.20  57
22.28  70
26.41  100
28.20  87
28.74  72
30.18  59
35.10  55
39.51  55

Diffraction record for KNi12As6. The powder diffraction line list is calculated, not measured: it uses a crystal structure in Alexandria, relaxed with GGA-PBE and a wavelength of 1.5418 Å.
Intensities are scaled so that the largest is 100.

Structural model:
a b c (Å): 6.820 6.820 6.820
angles (deg): 103.82 103.82 103.82
Positions (direct):
K 0.000 0.000 0.000
Ni 0.134 0.500 0.866
Ni 0.134 0.866 0.500
Ni 0.169 0.467 0.467
Ni 0.467 0.169 0.467
Ni 0.467 0.467 0.169
Ni 0.500 0.134 0.866
Ni 0.500 0.866 0.134
Ni 0.533 0.533 0.831
Ni 0.533 0.831 0.533
Ni 0.831 0.533 0.533
Ni 0.866 0.134 0.500
Ni 0.866 0.500 0.134
As 0.230 0.230 0.656
As 0.230 0.656 0.230
As 0.344 0.770 0.770
As 0.656 0.230 0.230
As 0.770 0.344 0.770
As 0.770 0.770 0.344

Peak list (8 most intense, 15 to 90 degrees two-theta, by angle)
2θ (°)  I/Imax
16.52  80
27.45  47
36.40  60
43.16  100
43.75  65
44.38  45
51.05  46
53.78  36

Diffraction record for KNi6As4. The powder diffraction line list is calculated, not measured: it uses a crystal structure in Alexandria, relaxed with GGA-PBE and a wavelength of 1.5418 Å.
Intensities are scaled so that the largest is 100.

Structural model:
a b c (Å): 12.612 12.612 12.612
angles (deg): 162.38 162.38 25.02
Positions (direct):
K 0.000 0.000 0.000
Ni 0.138 0.638 0.500
Ni 0.250 0.750 0.500
Ni 0.362 0.862 0.500
Ni 0.638 0.138 0.500
Ni 0.750 0.250 0.500
Ni 0.862 0.362 0.500
As 0.194 0.194 0.000
As 0.417 0.417 0.000
As 0.583 0.583 0.000
As 0.806 0.806 0.000

Peak list (8 most intense, 15 to 90 degrees two-theta, by angle)
2θ (°)  I/Imax
29.38  100
44.33  80
47.04  68
49.85  70
56.44  30
68.72  20
85.51  22
89.56  25